[1]
Structure and computed powder diffractogram of Ce2PmGa4 (a structure optimized by DFT (GGA-PBE); a wavelength of 1.5418 Å).
Lines closer than 0.1° are merged.

Atomic structure:
a = 9.889 Å, b = 9.889 Å, c = 9.889 Å
α = 155.56°, β = 155.06°, γ = 35.20°
Element x y z (fractional)
Ce  0.189  0.189  0.000
Ce  0.811  0.811  0.000
Pm  0.000  0.500  0.500
Ga  0.359  0.359  0.000
Ga  0.434  0.934  0.500
Ga  0.566  0.066  0.500
Ga  0.641  0.641  0.000

Most intense lines, 2θ = 5–70°, sorted by position:
| 2θ (°) | I (rel.) |
| --- | --- |
| 25.57 | 18 |
| 31.39 | 100 |
| 31.65 | 58 |
| 35.56 | 21 |
| 39.80 | 36 |
| 42.33 | 25 |
| 43.22 | 24 |
| 54.55 | 25 |
| 59.49 | 22 |
| 62.09 | 16 |

***

[2]
Structure and computed powder diffractogram of Ce2Pm2Ga3 (a structure optimized by DFT (GGA-PBE); a wavelength of 1.5418 Å).
Lines closer than 0.1° are merged.

Atomic structure:
a = 12.236 Å, b = 12.236 Å, c = 3.396 Å
α = 90.00°, β = 90.00°, γ = 160.48°
Element x y z (fractional)
Ce  0.212  0.788  0.000
Ce  0.788  0.212  0.000
Pm  0.073  0.927  0.000
Pm  0.927  0.073  0.000
Ga  0.356  0.644  0.500
Ga  0.500  0.500  0.500
Ga  0.644  0.356  0.500

Most intense lines, 2θ = 5–70°, sorted by position:
| 2θ (°) | I (rel.) |
| --- | --- |
| 26.25 | 19 |
| 33.82 | 100 |
| 34.33 | 75 |
| 34.58 | 34 |
| 39.99 | 26 |
| 43.31 | 20 |
| 43.65 | 25 |
| 56.84 | 16 |
| 60.68 | 15 |
| 65.27 | 29 |

***

[3]
Structure and computed powder diffractogram of CePm5Ga6 (a structure optimized by DFT (GGA-PBE); a wavelength of 1.5418 Å).
Lines closer than 0.1° are merged.

Atomic structure:
a = 8.988 Å, b = 8.988 Å, c = 8.988 Å
α = 146.50°, β = 131.96°, γ = 59.83°
Element x y z (fractional)
Ce  0.000  0.000  0.000
Pm  0.164  0.664  0.500
Pm  0.332  0.332  0.000
Pm  0.500  0.000  0.500
Pm  0.668  0.668  0.000
Pm  0.836  0.336  0.500
Ga  0.085  0.832  0.253
Ga  0.255  0.500  0.755
Ga  0.421  0.168  0.253
Ga  0.579  0.832  0.747
Ga  0.745  0.500  0.245
Ga  0.915  0.168  0.747

Most intense lines, 2θ = 5–70°, sorted by position:
| 2θ (°) | I (rel.) |
| --- | --- |
| 24.29 | 13 |
| 34.62 | 100 |
| 42.74 | 4 |
| 49.71 | 12 |
| 49.86 | 6 |
| 56.07 | 3 |
| 56.17 | 3 |
| 61.95 | 12 |
| 62.08 | 24 |

***

[4]
Structure and computed powder diffractogram of CePr3Ga3 (a structure optimized by DFT (GGA-PBE); a wavelength of 1.5418 Å).
Lines closer than 0.1° are merged.

Atomic structure:
a = 7.413 Å, b = 7.413 Å, c = 7.116 Å
α = 90.00°, β = 90.00°, γ = 90.73°
Element x y z (fractional)
Ce  0.238  0.762  0.000
Ce  0.762  0.238  0.000
Pr  0.234  0.234  0.500
Pr  0.271  0.729  0.500
Pr  0.278  0.278  0.000
Pr  0.722  0.722  0.000
Pr  0.729  0.271  0.500
Pr  0.766  0.766  0.500
Ga  0.000  0.000  0.238
Ga  0.000  0.000  0.762
Ga  0.000  0.500  0.247
Ga  0.000  0.500  0.753
Ga  0.500  0.000  0.247
Ga  0.500  0.000  0.753

Most intense lines, 2θ = 5–70°, sorted by position:
| 2θ (°) | I (rel.) |
| --- | --- |
| 24.01 | 24 |
| 25.03 | 12 |
| 33.99 | 27 |
| 34.44 | 24 |
| 34.96 | 100 |
| 49.17 | 16 |
| 51.36 | 9 |
| 61.46 | 17 |
| 62.03 | 15 |
| 63.03 | 9 |